No. 1
LiV2P3O12: theoretical XRD peak list (Cu Kα, 1.54184 Å), based on a cell relaxed with PBE+U.
Kinematic intensities with the Lorentz-polarization factor, no thermal factor.

Principal peaks in the range 2θ = 10–90°, by angle:
hkl 1 0 -1, 2θ 14.5, intensity 85; hkl 1 -1 1, 2θ 14.6, intensity 41; hkl -1 1 1, 2θ 20.0, intensity 75; hkl 0 1 -2, 2θ 20.1, intensity 36; hkl 1 -2 0, 2θ 24.4, intensity 100; hkl 1 -2 2, 2θ 24.5, intensity 93; hkl 1 1 1, 2θ 32.0, intensity 48; hkl 1 -2 3, 2θ 32.2, intensity 41

a b c (Å): 8.339 8.349 8.875
angles (deg): 117.64 90.26 119.90
Space group P-1 (No. 2)
Asymmetric unit:
Li (0.240, 0.060, 0.138) [2 per cell]
V (0.155, 0.303, 0.943) [2 per cell]
V (0.353, 0.718, 0.571) [2 per cell]
P (0.035, 0.785, 0.751) [2 per cell]
P (0.247, 0.781, 0.248) [2 per cell]
P (0.467, 0.499, 0.745) [2 per cell]
O (0.011, 0.974, 0.794) [2 per cell]
O (0.030, 0.763, 0.917) [2 per cell]
O (0.035, 0.710, 0.197) [2 per cell]
O (0.124, 0.423, 0.420) [2 per cell]
O (0.237, 0.845, 0.729) [2 per cell]
O (0.279, 0.611, 0.106) [2 per cell]
O (0.299, 0.808, 0.429) [2 per cell]
O (0.322, 0.345, 0.801) [2 per cell]
O (0.333, 0.313, 0.102) [2 per cell]
O (0.384, 0.001, 0.263) [2 per cell]
O (0.393, 0.623, 0.721) [2 per cell]
O (0.492, 0.362, 0.572) [2 per cell]

No. 2
Li2MnC2O6: theoretical XRD peak list (Cu Kα, 1.54184 Å), based on a cell relaxed with PBE+U.
Kinematic intensities with the Lorentz-polarization factor, no thermal factor.

Principal peaks in the range 2θ = 10–90°, by angle:
hkl 2 2 0, 2θ 18.4, intensity 15; hkl 1 1 1, 2θ 18.8, intensity 100; hkl 1 3 1, 2θ 24.2, intensity 9; hkl 3 1 1, 2θ 28.5, intensity 29; hkl 4 0 0, 2θ 30.2, intensity 16; hkl 4 2 0, 2θ 32.1, intensity 15; hkl 1 5 1, 2θ 32.4, intensity 14; hkl 2 4 2, 2θ 42.7, intensity 18

a b c (Å): 11.844 16.653 5.413
angles (deg): 90.00 90.00 90.00
Space group Fdd2 (No. 43)
Asymmetric unit:
Li (0.027, 0.337, 0.000) [16 per cell]
Mn (0.000, 0.000, 0.954) [8 per cell]
C (0.050, 0.153, 0.028) [16 per cell]
O (0.019, 0.104, 0.202) [16 per cell]
O (0.054, 0.125, 0.803) [16 per cell]
O (0.079, 0.226, 0.079) [16 per cell]

No. 3
MgV4O5F7: theoretical XRD peak list (Cu Kα, 1.54184 Å), based on a cell relaxed with PBE+U.
Kinematic intensities with the Lorentz-polarization factor, no thermal factor.

Principal peaks in the range 2θ = 10–90°, by angle:
hkl 0 1 -1, 2θ 23.1, intensity 100; hkl 1 0 -1, 2θ 23.8, intensity 98; hkl 1 1 2, 2θ 24.0, intensity 99; hkl 0 1 3, 2θ 33.2, intensity 22; hkl 1 -1 2, 2θ 39.2, intensity 27; hkl 1 0 -3, 2θ 40.2, intensity 29; hkl 0 2 -2, 2θ 47.2, intensity 25; hkl 1 -2 1, 2θ 52.2, intensity 29

a b c (Å): 5.145 5.527 9.046
angles (deg): 72.24 73.95 62.50
Space group P1 (No. 1)
Asymmetric unit:
Mg (0.000, 0.000, 0.000) [1 per cell]
V (0.052, 0.292, 0.656) [1 per cell]
V (0.343, 0.486, 0.890) [1 per cell]
V (0.550, 0.700, 0.165) [1 per cell]
V (0.752, 0.038, 0.409) [1 per cell]
O (0.231, 0.424, 0.721) [1 per cell]
O (0.339, 0.618, 0.069) [1 per cell]
O (0.387, 0.168, 0.476) [1 per cell]
O (0.756, 0.299, 0.841) [1 per cell]
O (0.756, 0.393, 0.276) [1 per cell]
F (0.197, 0.844, 0.322) [1 per cell]
F (0.265, 0.899, 0.782) [1 per cell]
F (0.287, 0.130, 0.029) [1 per cell]
F (0.720, 0.956, 0.206) [1 per cell]
F (0.817, 0.642, 0.523) [1 per cell]
F (0.862, 0.707, 0.974) [1 per cell]
F (0.883, 0.091, 0.573) [1 per cell]